Record 1
# TeAsAu
Simulated PXRD pattern, CuKα. Input: the GGA-PBE geometry in Alexandria.
Kinematic intensities with the Lorentz-polarization factor, no thermal factor.

Crystal structure
```
data_TeAsAu
_chemical_formula_sum 'Te4 As4 Au4'
_cell_length_a 6.2344
_cell_length_b 5.8824
_cell_length_c 9.0556
_cell_angle_alpha 90.00
_cell_angle_beta 91.85
_cell_angle_gamma 90.00
_space_group_name_H-M_alt 'P 1 21/c 1'
_space_group_IT_number 14
_space_group_name_Hall '-P 2ybc'
loop_
_atom_site_label
_atom_site_type_symbol
_atom_site_fract_x
_atom_site_fract_y
_atom_site_fract_z
Te1 Te 0.1305 0.2020 0.1102
As1 As 0.3697 0.5790 0.1221
Au1 Au 0.2544 0.5914 0.8419
```

Top 10 peaks for 2θ from 15° to 90°, low angle first:
2theta, intensity, index
17.98, 69, 0 1 1
22.80, 100, 1 1 -1
24.82, 83, 0 1 2
28.65, 41, 2 0 0
29.04, 46, 1 1 2
33.38, 45, 0 1 3
33.74, 41, 2 1 -1
39.84, 40, 0 0 4
45.17, 65, 2 1 3
48.68, 41, 1 3 0

Record 2
# Th2AsAu
Simulated PXRD pattern, CuKα. Input: the GGA-PBE geometry in Alexandria.
Kinematic intensities with the Lorentz-polarization factor, no thermal factor.

Crystal structure
```
data_Th2AsAu
_chemical_formula_sum 'Th6 As3 Au3'
_cell_length_a 4.0671
_cell_length_b 4.0671
_cell_length_c 23.3131
_cell_angle_alpha 90.00
_cell_angle_beta 90.00
_cell_angle_gamma 120.00
_space_group_name_H-M_alt 'R 3 m'
_space_group_IT_number 160
_space_group_name_Hall 'R 3 -2"'
loop_
_atom_site_label
_atom_site_type_symbol
_atom_site_fract_x
_atom_site_fract_y
_atom_site_fract_z
Th1 Th 0.0000 0.0000 0.0000
Th2 Th 0.0000 0.0000 0.1774
As1 As 0.0000 0.0000 0.5901
Au1 Au 0.0000 0.0000 0.4216
```

Top 10 peaks for 2θ from 15° to 90°, low angle first:
2theta, intensity, index
25.58, 31, 1 0 1
26.43, 25, 0 1 2
29.63, 36, 1 0 4
31.84, 100, 0 1 5
37.15, 47, 1 0 7
44.56, 54, 1 1 0
46.74, 27, 0 0 12
55.80, 21, 2 0 5
66.57, 35, 1 1 12
74.06, 18, 1 2 5

Record 3
# Tl4AsAu5
Simulated PXRD pattern, CuKα. Input: the GGA-PBE geometry in Alexandria.
Kinematic intensities with the Lorentz-polarization factor, no thermal factor.

Crystal structure
```
data_Tl4AsAu5
_chemical_formula_sum 'Tl8 As2 Au10'
_cell_length_a 9.6800
_cell_length_b 9.6800
_cell_length_c 5.0800
_cell_angle_alpha 90.00
_cell_angle_beta 90.00
_cell_angle_gamma 90.00
_space_group_name_H-M_alt 'I 4 m m'
_space_group_IT_number 107
_space_group_name_Hall 'I 4 -2'
loop_
_atom_site_label
_atom_site_type_symbol
_atom_site_fract_x
_atom_site_fract_y
_atom_site_fract_z
Tl1 Tl 0.0000 0.3094 0.0000
As1 As 0.0000 0.0000 0.3317
Au1 Au 0.0000 0.0000 0.8321
Au2 Au 0.1890 0.1890 0.5121
```

Top 10 peaks for 2θ from 15° to 90°, low angle first:
2theta, intensity, index
32.88, 100, 3 0 1
35.34, 18, 0 0 2
37.90, 10, 3 2 1
39.50, 35, 3 3 0
40.09, 12, 2 0 2
50.45, 12, 5 0 1
54.03, 16, 3 3 2
57.09, 9, 6 0 0
61.88, 13, 3 0 3
67.44, 23, 6 3 1